(1)
NpS2O6F2: simulated XRD peak list (Cu Kα (weighted mean of Kα1 and Kα2)), based on a PBE-relaxed structure.

Top 8 peaks for 10 to 90 degrees two-theta, in order of rising 2θ:
Position (°2θ), I (rel.), index
11.75, 83, 0 0 1
22.10, 40, 1 0 0
25.10, 100, 1 0 1
32.58, 52, 0 1 2
38.77, 25, 1 1 0
40.65, 36, 1 1 1
45.91, 27, 2 -1 2
53.77, 35, 2 -1 3

Structural model:
```
data_NpS2O6F2
_chemical_formula_sum 'Np1 S2 O6 F2'
_cell_length_a 4.6454
_cell_length_b 4.6454
_cell_length_c 7.5290
_cell_angle_alpha 90.00
_cell_angle_beta 90.00
_cell_angle_gamma 120.00
_space_group_name_H-M_alt 'P -3'
_space_group_IT_number 147
loop_
_space_group_symop_operation_xyz
'x,y,z'
'-x,-y,-z'
'-y,x-y,z'
'y,-x+y,-z'
'-x+y,-x,z'
'x-y,x,-z'
loop_
_atom_site_label
_atom_site_type_symbol
_atom_site_fract_x
_atom_site_fract_y
_atom_site_fract_z
Np1 Np 0.0000 0.0000 0.0000
S1 S 0.3333 0.6667 0.6787
O1 O 0.0485 0.3381 0.7222
F1 F 0.3333 0.6667 0.0156
```



(2)
Sr2NpO4F: simulated XRD peak list (Cu Kα (weighted mean of Kα1 and Kα2)), based on a PBE-relaxed structure.

Top 8 peaks for 10 to 90 degrees two-theta, in order of rising 2θ:
Position (°2θ), I (rel.), index
13.87, 64, 0 0 1
17.04, 39, 2 0 -1
25.48, 100, 2 0 -2
26.98, 83, 1 1 0
27.40, 70, 2 0 1
32.34, 62, 1 1 1
35.37, 85, 3 1 -1
38.82, 50, 3 1 -2

Structural model:
```
data_Sr2NpO4F
_chemical_formula_sum 'Sr4 Np2 O8 F2'
_cell_length_a 11.058
_cell_length_b 3.507
_cell_length_c 7.158
_cell_angle_alpha 90.00
_cell_angle_beta 116.88
_cell_angle_gamma 90.00
_space_group_name_H-M_alt 'C 1 2/m 1'
_space_group_IT_number 12
loop_
_space_group_symop_operation_xyz
'x,y,z'
'-x,-y,-z'
'-x,y,-z'
'x,-y,z'
'x+1/2,y+1/2,z'
'-x+1/2,-y+1/2,-z'
'-x+1/2,y+1/2,-z'
'x+1/2,-y+1/2,z'
loop_
_atom_site_label
_atom_site_type_symbol
_atom_site_fract_x
_atom_site_fract_y
_atom_site_fract_z
Sr1 Sr 0.180 0.000 0.185
Np1 Np 0.000 0.000 0.500
O1 O 0.109 0.500 0.447
O2 O 0.152 0.000 0.796
F1 F 0.000 0.500 0.000
```



(3)
PmNp2F8: simulated XRD peak list (Cu Kα (weighted mean of Kα1 and Kα2)), based on a PBE-relaxed structure.

Top 8 peaks for 10 to 90 degrees two-theta, in order of rising 2θ:
Position (°2θ), I (rel.), index
26.43, 100, 1 1 0
27.26, 60, 0 1 3
33.22, 30, 1 0 3
42.93, 62, 1 2 3
46.67, 31, 2 0 0
54.42, 19, 0 4 0
54.91, 18, 2 1 3
56.24, 22, 1 1 6

Structural model:
```
data_PmNp2F8
_chemical_formula_sum 'Pm2 Np4 F16'
_cell_length_a 3.891
_cell_length_b 6.749
_cell_length_c 11.223
_cell_angle_alpha 90.00
_cell_angle_beta 90.00
_cell_angle_gamma 90.00
_space_group_name_H-M_alt 'I m m m'
_space_group_IT_number 71
_space_group_name_Hall '-I 2 2'
loop_
_atom_site_label
_atom_site_type_symbol
_atom_site_fract_x
_atom_site_fract_y
_atom_site_fract_z
Pm1 Pm 0.000 0.000 0.000
Np1 Np 0.000 0.000 0.319
F1 F 0.000 0.193 0.500
F2 F 0.000 0.270 0.158
F3 F 0.000 0.500 0.363
```